No. 1
Calculated XRD peak list of DyHoAg2Te4 for Cu Ka, from a crystal structure in OQMD, relaxed with PBE.

Atomic structure:
Cell lengths 7.086, 7.086, 4.711 Å; angles 90.00, 90.00, 90.04 degrees
Fractional positions:
Dy1 0.000 0.000 0.000
Ho1 0.500 0.500 0.618
Ag1 0.000 0.500 0.810
Ag2 0.500 0.000 0.810
Te1 0.203 0.203 0.516
Te2 0.299 0.701 0.102
Te3 0.701 0.299 0.102
Te4 0.797 0.797 0.516

The 8 most intense peaks (10 to 90 degrees two-theta), in order of rising 2θ:
- 26.0°, intensity 100
- 28.2°, intensity 29
- 31.6°, intensity 60
- 34.1°, intensity 86
- 35.8°, intensity 82
- 42.4°, intensity 39
- 42.8°, intensity 58
- 74.9°, intensity 23

---

No. 2
Calculated XRD peak list of TbDy2In3AgIr2 for Cu Ka, from a crystal structure in OQMD, relaxed with PBE.

Atomic structure:
Cell lengths 3.853, 7.710, 7.710 Å; angles 120.01, 90.00, 90.00 degrees
Fractional positions:
Tb1 0.000 0.000 0.000
Dy1 0.000 0.174 0.587
Dy2 0.000 0.587 0.174
In1 0.500 0.319 0.319
In2 0.500 0.587 0.855
In3 0.500 0.855 0.587
Ag1 0.000 0.587 0.587
Ir1 0.500 0.254 0.920
Ir2 0.500 0.920 0.254

The 8 most intense peaks (10 to 90 degrees two-theta), in order of rising 2θ:
- 32.9°, intensity 71
- 35.6°, intensity 100
- 40.5°, intensity 36
- 42.8°, intensity 19
- 47.2°, intensity 28
- 63.9°, intensity 24
- 65.6°, intensity 24
- 75.3°, intensity 14

---

No. 3
Calculated XRD peak list of Dy3MgIn3AgPd for Cu Ka, from a crystal structure in OQMD, relaxed with PBE.

Atomic structure:
Cell lengths 7.961, 7.961, 3.832 Å; angles 90.00, 90.00, 120.00 degrees
Fractional positions:
Dy1 0.082 0.717 0.000
Dy2 0.283 0.365 0.000
Dy3 0.635 0.918 0.000
Mg1 0.000 0.000 0.500
In1 0.394 0.073 0.500
In2 0.679 0.606 0.500
In3 0.927 0.321 0.500
Ag1 0.667 0.333 0.000
Pd1 0.333 0.667 0.500

The 8 most intense peaks (10 to 90 degrees two-theta), in order of rising 2θ:
- 12.8°, intensity 20
- 32.4°, intensity 100
- 34.4°, intensity 47
- 35.0°, intensity 72
- 39.2°, intensity 37
- 41.9°, intensity 26
- 47.5°, intensity 19
- 63.6°, intensity 33

---

No. 4
Calculated XRD peak list of Dy2TmIn3NiAg2 for Cu Ka, from a crystal structure in OQMD, relaxed with PBE.

Atomic structure:
Cell lengths 3.864, 7.719, 7.719 Å; angles 119.85, 90.00, 90.00 degrees
Fractional positions:
Dy1 0.000 0.199 0.801
Dy2 0.000 0.801 0.199
Tm1 0.000 0.597 0.597
In1 0.500 0.200 0.448
In2 0.500 0.448 0.200
In3 0.500 0.951 0.951
Ni1 0.000 0.201 0.201
Ag1 0.500 0.534 0.864
Ag2 0.500 0.864 0.534

The 8 most intense peaks (10 to 90 degrees two-theta), in order of rising 2θ:
- 32.8°, intensity 92
- 35.5°, intensity 100
- 40.5°, intensity 29
- 42.7°, intensity 16
- 47.0°, intensity 18
- 60.3°, intensity 16
- 63.7°, intensity 12
- 65.5°, intensity 14

---

No. 5
Calculated XRD peak list of PrDy2In3AgPd2 for Cu Ka, from a crystal structure in OQMD, relaxed with PBE.

Atomic structure:
Cell lengths 3.856, 7.875, 7.875 Å; angles 120.22, 90.00, 90.00 degrees
Fractional positions:
Pr1 0.000 0.000 0.000
Dy1 0.000 0.181 0.591
Dy2 0.000 0.591 0.181
In1 0.500 0.327 0.327
In2 0.500 0.586 0.857
In3 0.500 0.857 0.586
Ag1 0.000 0.588 0.588
Pd1 0.500 0.262 0.922
Pd2 0.500 0.922 0.262

The 8 most intense peaks (10 to 90 degrees two-theta), in order of rising 2θ:
- 32.5°, intensity 100
- 34.8°, intensity 31
- 35.2°, intensity 90
- 39.7°, intensity 28
- 47.1°, intensity 22
- 59.9°, intensity 19
- 63.3°, intensity 21
- 64.3°, intensity 23

---

No. 6
Calculated XRD peak list of Dy3In3Ag2Pt for Cu Ka, from a crystal structure in OQMD, relaxed with PBE.

Atomic structure:
Cell lengths 7.734, 7.734, 3.951 Å; angles 90.00, 90.00, 120.00 degrees
Fractional positions:
Dy1 0.000 0.603 0.000
Dy2 0.397 0.397 0.000
Dy3 0.603 0.000 0.000
In1 0.000 0.259 0.500
In2 0.259 0.000 0.500
In3 0.741 0.741 0.500
Ag1 0.333 0.667 0.500
Ag2 0.667 0.333 0.500
Pt1 0.000 0.000 0.000

The 8 most intense peaks (10 to 90 degrees two-theta), in order of rising 2θ:
- 32.4°, intensity 100
- 35.1°, intensity 97
- 35.5°, intensity 39
- 40.4°, intensity 54
- 42.4°, intensity 38
- 45.9°, intensity 27
- 62.8°, intensity 29
- 65.1°, intensity 38

---

No. 7
Calculated XRD peak list of K2Dy4Ag4S9 for Cu Ka, from a crystal structure in OQMD, relaxed with PBE.

Atomic structure:
Cell lengths 7.440, 7.440, 16.309 Å; angles 108.90, 108.90, 32.00 degrees
Fractional positions:
K1 0.033 0.033 0.274
K2 0.967 0.967 0.726
Dy1 0.234 0.234 0.108
Dy2 0.348 0.348 0.444
Dy3 0.652 0.652 0.556
Dy4 0.766 0.766 0.892
Ag1 0.240 0.240 0.725
Ag2 0.434 0.434 0.049
Ag3 0.566 0.566 0.951
Ag4 0.760 0.760 0.275
S1 0.000 0.000 0.500
S2 0.154 0.154 0.926
S3 0.292 0.292 0.593
S4 0.365 0.365 0.280
S5 0.382 0.382 0.870
S6 0.618 0.618 0.130
S7 0.635 0.635 0.720
S8 0.708 0.708 0.407
S9 0.846 0.846 0.074

The 8 most intense peaks (10 to 90 degrees two-theta), in order of rising 2θ:
- 13.1°, intensity 100
- 25.1°, intensity 52
- 26.5°, intensity 50
- 27.3°, intensity 52
- 30.0°, intensity 47
- 31.4°, intensity 64
- 36.6°, intensity 47
- 44.2°, intensity 54

---

No. 8
Calculated XRD peak list of LaDyAg2Sn2 for Cu Ka, from a crystal structure in OQMD, relaxed with PBE.

Atomic structure:
Cell lengths 4.778, 4.778, 7.588 Å; angles 90.00, 90.00, 120.00 degrees
Fractional positions:
La1 0.000 0.000 0.000
Dy1 0.000 0.000 0.502
Ag1 0.333 0.667 0.685
Ag2 0.667 0.333 0.223
Sn1 0.333 0.667 0.288
Sn2 0.667 0.333 0.772

The 8 most intense peaks (10 to 90 degrees two-theta), in order of rising 2θ:
- 32.0°, intensity 100
- 37.6°, intensity 75
- 41.9°, intensity 13
- 50.2°, intensity 28
- 62.5°, intensity 18
- 64.4°, intensity 27
- 68.0°, intensity 13
- 89.1°, intensity 12